Record 1
# HoRhO
Theoretical XRD peak list, Cu Kα, 1.54184 Å. Input: a GGA-PBE-relaxed structure.

Most intense lines, 15° ≤ 2θ ≤ 90°, most intense first:
2θ/deg	intensity
34.1	100
29.2	97
42.5	72
29.5	53
18.5	48
47.4	44

```
HoRhO
1.0
3.7480 0.0000 0.0000
0.0000 5.3163 0.0000
0.0000 0.0000 11.0659
Ho Rh O
4 4 4
direct
0.0000 0.0000 0.1455 Ho
0.0000 0.0000 0.8545 Ho
0.5000 0.5000 0.3545 Ho
0.5000 0.5000 0.6455 Ho
0.0000 0.2324 0.5000 Rh
0.0000 0.7676 0.5000 Rh
0.5000 0.2676 0.0000 Rh
0.5000 0.7324 0.0000 Rh
0.0000 0.0000 0.3375 O
0.0000 0.0000 0.6625 O
0.5000 0.5000 0.1625 O
0.5000 0.5000 0.8375 O
```

Record 2
# LaCe2PbN2
Theoretical XRD peak list, Cu Kα, 1.54184 Å. Input: a GGA-PBE-relaxed structure.

Most intense lines, 15° ≤ 2θ ≤ 90°, most intense first:
2θ/deg	intensity
32.5	100
27.4	74
51.7	54
39.1	35
80.0	15
87.7	14

```
LaCe2PbN2
1.0
4.6114 0.0000 0.0000
0.0000 4.6114 0.0000
0.0000 0.0000 6.8817
La Ce Pb N
1 2 1 2
direct
0.0000 0.0000 0.0000 La
0.5000 0.5000 0.2235 Ce
0.5000 0.5000 0.7765 Ce
0.0000 0.0000 0.5000 Pb
0.0000 0.5000 0.0000 N
0.5000 0.0000 0.0000 N
```

Record 3
# PaSb2PbO8
Theoretical XRD peak list, Cu Kα, 1.54184 Å. Input: a GGA-PBE-relaxed structure.

Most intense lines, 15° ≤ 2θ ≤ 90°, most intense first:
2θ/deg	intensity
29.9	100
29.6	91
17.0	73
20.9	52
42.6	50
52.7	45

```
PaSb2PbO8
1.0
6.0366 0.0000 0.0000
-3.0183 5.2278 0.0000
0.0000 0.0000 7.2867
Pa Sb Pb O
1 2 1 8
direct
0.0000 0.0000 0.0000 Pa
0.3333 0.6667 0.2937 Sb
0.6667 0.3333 0.7063 Sb
0.0000 0.0000 0.5000 Pb
0.1579 0.3157 0.1953 O
0.1579 0.8421 0.1953 O
0.3157 0.1579 0.8047 O
0.3333 0.6667 0.5513 O
0.6667 0.3333 0.4487 O
0.6842 0.8421 0.1953 O
0.8421 0.1579 0.8047 O
0.8421 0.6842 0.8047 O
```

Record 4
# Ac3NdDy8
Theoretical XRD peak list, Cu Kα, 1.54184 Å. Input: a GGA-PBE-relaxed structure.

Most intense lines, 15° ≤ 2θ ≤ 90°, most intense first:
2θ/deg	intensity
31.6	100
31.8	47
30.5	36
54.9	31
58.9	22
27.6	22

```
Ac3NdDy8
1.0
-5.6021 5.8642 3.2106
5.6021 -5.8642 3.2106
5.6021 5.8642 -3.2106
Ac Nd Dy
3 1 8
direct
0.0000 0.0000 0.0000 Ac
0.1028 0.3552 0.7476 Ac
0.6077 0.3552 0.2524 Ac
0.5019 0.0019 0.5000 Nd
0.0183 0.3478 0.3295 Dy
0.0183 0.6888 0.6705 Dy
0.0971 0.0155 0.4233 Dy
0.0971 0.6738 0.0816 Dy
0.5154 0.3403 0.8249 Dy
0.5154 0.6905 0.1751 Dy
0.5923 0.0155 0.9184 Dy
0.5923 0.6738 0.5767 Dy
```

Please write out number 3 again, unchanged.
# PaSb2PbO8
Theoretical XRD peak list, Cu Kα, 1.54184 Å. Input: a GGA-PBE-relaxed structure.

Most intense lines, 15° ≤ 2θ ≤ 90°, most intense first:
2θ/deg	intensity
29.9	100
29.6	91
17.0	73
20.9	52
42.6	50
52.7	45

```
PaSb2PbO8
1.0
6.0366 0.0000 0.0000
-3.0183 5.2278 0.0000
0.0000 0.0000 7.2867
Pa Sb Pb O
1 2 1 8
direct
0.0000 0.0000 0.0000 Pa
0.3333 0.6667 0.2937 Sb
0.6667 0.3333 0.7063 Sb
0.0000 0.0000 0.5000 Pb
0.1579 0.3157 0.1953 O
0.1579 0.8421 0.1953 O
0.3157 0.1579 0.8047 O
0.3333 0.6667 0.5513 O
0.6667 0.3333 0.4487 O
0.6842 0.8421 0.1953 O
0.8421 0.1579 0.8047 O
0.8421 0.6842 0.8047 O
```

Number 2 is which compound? LaCe2PbN2